Diffraction record for Li3Fe4O3F5. The powder diffractogram is theoretical, not measured: it uses the GGA+U geometry in Alexandria and Cu Kα X-rays.
No peak broadening, texture or thermal motion is included.

Peak list (8 most intense, 2θ = 15–90°, sorted by position)
| hkl | d [Å] | Rel. int. |
| --- | --- | --- |
| 0 1 -1 | 4.894 | 100 |
| 0 1 1 | 2.905 | 27 |
| -2 1 1 | 2.770 | 27 |
| 2 1 -1 | 2.449 | 36 |
| 0 0 2 | 2.372 | 31 |
| 2 -2 0 | 2.256 | 25 |
| 2 2 -2 | 1.999 | 35 |
| 1 2 -3 | 1.950 | 13 |

Cell lengths 6.016, 6.089, 6.188 Å; angles 110.90, 118.97, 97.28 degrees
Space group P1 (No. 1)
Symmetry-distinct sites (fractional):
Li 0.000 0.000 0.000
Li 0.076 0.543 0.706
Li 0.437 0.488 0.579
Fe 0.425 0.017 0.585
Fe 0.448 0.424 0.054
Fe 0.806 0.007 0.362
Fe 0.972 0.506 0.108
O 0.203 0.229 0.603
O 0.225 0.332 0.164
O 0.699 0.671 0.055
F 0.204 0.710 0.571
F 0.226 0.804 0.105
F 0.689 0.171 0.052
F 0.710 0.850 0.601
F 0.736 0.313 0.609